[1]
Mn7F18: theoretical powder diffraction line list (CuKα), based on a structure optimized by DFT (GGA+U).

Structure:
```
Mn7F18
1.0
7.183 0.000 0.000
-3.170 6.836 0.000
-0.695 -0.928 8.022
Mn F
7 18
Cartesian
0.000 0.000 0.000
-0.448 1.914 5.630
-1.833 5.375 5.507
1.668 1.602 3.065
1.649 4.307 4.956
5.149 0.534 2.515
3.765 3.994 2.392
-0.883 0.815 7.324
-2.193 4.907 3.499
-1.660 3.327 5.921
0.149 0.741 2.082
-2.046 5.926 7.522
0.930 0.629 4.967
0.418 3.021 3.829
0.922 2.936 6.422
0.200 5.540 5.309
3.117 0.368 2.713
2.395 2.973 1.600
2.899 2.888 4.192
2.387 5.279 3.055
5.363 -0.018 0.500
3.168 5.167 5.940
4.977 2.582 2.101
5.510 1.002 4.523
4.200 5.094 0.698
```

Most intense lines, 10 to 90 degrees two-theta, in order of rising 2θ:
2theta, Rel. int.
11.0, 77
14.3, 62
16.1, 50
18.7, 100
25.8, 25
27.3, 38
31.1, 25
33.5, 23

***

[2]
MnF3: theoretical powder diffraction line list (CuKα), based on a structure optimized by DFT (GGA+U).

Structure:
```
MnF3
1.0
8.570 0.000 0.000
-4.285 7.422 0.000
0.000 0.000 4.688
Mn F
6 18
Cartesian
-1.422 2.464 0.000
-2.843 4.925 2.344
2.845 0.000 0.000
1.442 2.497 2.344
5.686 0.000 2.344
2.863 4.958 0.000
-1.552 4.118 1.217
-2.766 6.491 1.235
0.047 1.781 1.235
-0.105 3.197 3.618
-1.463 5.915 3.618
1.519 0.931 3.452
2.822 1.507 1.069
1.494 4.018 1.217
0.058 6.707 1.217
2.733 3.303 3.471
4.343 0.715 3.471
1.569 5.732 3.618
2.719 6.572 1.235
4.180 4.225 1.069
5.854 1.690 1.069
7.004 0.850 3.452
4.332 5.641 3.452
5.780 3.403 3.471
```

Most intense lines, 10 to 90 degrees two-theta, in order of rising 2θ:
2theta, Rel. int.
20.7, 50
28.2, 100
41.3, 33
46.6, 22
53.9, 41
60.5, 20
63.4, 8
65.3, 17

***

[3]
MnF4: theoretical powder diffraction line list (CuKα), based on a structure optimized by DFT (GGA+U).

Structure:
```
MnF4
1.0
4.937 2.850 4.416
-4.937 2.850 4.416
0.000 -5.700 4.416
Mn F
6 24
Cartesian
-4.937 0.000 6.624
-2.468 1.425 2.208
-2.468 -1.425 4.416
2.468 1.425 2.208
-2.468 1.425 8.831
0.000 2.850 4.416
-3.297 -3.088 7.632
-4.323 1.311 5.615
-1.819 -2.850 5.520
-0.904 -1.567 3.312
-1.640 -0.238 5.424
-0.904 1.567 3.312
-3.378 0.150 7.728
1.026 -4.399 5.615
1.809 0.000 3.312
-1.559 3.000 5.520
1.026 -1.301 5.424
-0.614 -1.539 7.823
0.614 1.539 5.424
-1.026 1.301 7.823
1.559 -3.000 7.728
-1.809 0.000 9.935
-1.026 4.399 7.632
3.378 -0.150 5.520
0.904 -1.567 9.935
1.640 0.238 7.823
0.904 1.567 9.935
1.819 2.850 7.728
4.323 -1.311 7.632
3.297 3.088 5.615
```

Most intense lines, 10 to 90 degrees two-theta, in order of rising 2θ:
2theta, Rel. int.
16.9, 28
18.0, 22
24.8, 100
34.2, 20
41.9, 39
50.8, 16
55.9, 33
65.5, 17

***

[4]
Mn3F8: theoretical powder diffraction line list (CuKα), based on a structure optimized by DFT (GGA+U).

Structure:
```
Mn3F8
1.0
3.327 -5.509 0.000
3.327 5.509 0.000
-0.165 0.000 9.135
Mn F
6 16
Cartesian
1.585 1.812 4.609
3.244 4.559 4.567
1.667 -1.812 0.042
3.331 0.945 0.004
3.249 -0.945 4.571
3.327 -4.559 0.000
1.533 1.674 0.820
3.506 4.880 1.012
3.056 2.968 3.579
1.630 0.185 3.501
1.548 -0.185 8.069
3.483 2.850 8.212
2.927 0.945 5.578
1.451 -1.674 5.388
3.010 -0.945 1.010
4.975 2.051 1.119
2.973 -2.968 8.147
4.957 0.225 8.305
5.039 -0.225 3.738
3.565 -2.850 3.645
4.893 -2.051 5.687
3.423 -4.880 5.579
```

Most intense lines, 10 to 90 degrees two-theta, in order of rising 2θ:
2theta, Rel. int.
18.2, 23
18.5, 20
19.4, 100
32.8, 17
34.0, 18
36.9, 16
43.2, 19
44.3, 17

***

[5]
MnF3: theoretical powder diffraction line list (CuKα), based on a structure optimized by DFT (GGA+U).

Structure:
```
MnF3
1.0
5.408 0.000 0.000
0.000 5.578 0.000
0.000 0.000 3.880
Mn F
2 6
Cartesian
0.000 0.000 0.000
2.704 2.789 0.000
0.000 0.000 1.940
1.179 1.722 0.000
1.525 4.511 0.000
2.704 2.789 1.940
3.883 1.067 0.000
4.229 3.855 0.000
```

Most intense lines, 10 to 90 degrees two-theta, in order of rising 2θ:
2theta, Rel. int.
22.9, 100
32.1, 5
32.6, 10
46.8, 26
52.0, 7
52.7, 20
53.4, 7
68.4, 8

***

[6]
Mn2F13: theoretical powder diffraction line list (CuKα), based on a structure optimized by DFT (GGA+U).

Structure:
```
Mn2F13
1.0
4.830 0.000 0.000
1.409 6.406 0.000
1.228 2.773 6.403
Mn F
2 13
Cartesian
1.134 1.660 1.361
6.334 7.520 5.041
0.614 1.387 3.201
1.900 6.358 0.964
1.695 3.256 1.850
3.195 6.847 5.400
2.849 4.654 6.068
3.105 4.894 3.317
2.726 0.872 1.757
4.741 8.307 4.646
4.362 4.286 3.085
4.618 4.525 0.335
4.272 2.332 1.002
5.772 5.923 4.552
5.568 2.822 5.438
```

Most intense lines, 10 to 90 degrees two-theta, in order of rising 2θ:
2theta, Rel. int.
15.9, 99
18.9, 49
21.7, 100
24.3, 95
24.5, 54
26.1, 53
27.9, 73
43.4, 66